Starting from a PBE-relaxed structure, the PXRD pattern of Cu2SiAu2 was computed for Cu Kα (λ = 1.5418 Å).
Peak positions follow from Bragg's law for the DFT cell and can differ from measured ones.

Most intense lines, 10 to 90 degrees two-theta, by angle:
| 2theta | I (rel.) |
| --- | --- |
| 24.2 | 67 |
| 32.4 | 31 |
| 33.4 | 99 |
| 39.9 | 69 |
| 40.0 | 100 |
| 40.8 | 82 |
| 47.2 | 35 |
| 53.8 | 34 |

Cell and atoms:
Lattice parameters (Å, degrees): 5.383 5.383 5.529 90.00 90.00 93.71
Sites, in units of the cell vectors:
1 Cu 0.199 0.702 0.000
2 Cu 0.298 0.801 0.500
3 Cu 0.702 0.199 0.500
4 Cu 0.801 0.298 0.000
5 Si 0.000 0.500 0.668
6 Si 0.500 0.000 0.168
7 Au 0.200 0.303 0.316
8 Au 0.303 0.200 0.816
9 Au 0.697 0.800 0.816
10 Au 0.800 0.697 0.316



Starting from a PBE-relaxed structure, the PXRD pattern of Na2ZnCuP2 was computed for Cu Kα (λ = 1.5418 Å).
Peak positions follow from Bragg's law for the DFT cell and can differ from measured ones.

Most intense lines, 10 to 90 degrees two-theta, by angle:
| 2theta | I (rel.) |
| --- | --- |
| 12.7 | 100 |
| 34.3 | 14 |
| 34.5 | 27 |
| 34.8 | 26 |
| 41.3 | 28 |
| 41.6 | 27 |
| 46.0 | 30 |
| 47.9 | 14 |

Cell and atoms:
Lattice parameters (Å, degrees): 8.006 8.006 8.006 139.37 59.10 138.99
Sites, in units of the cell vectors:
1 Na 0.178 0.247 0.425
2 Na 0.322 0.747 0.070
3 Na 0.678 0.253 0.930
4 Na 0.822 0.753 0.575
5 Zn 0.250 0.250 0.000
6 Zn 0.750 0.750 0.000
7 Cu 0.250 0.750 0.500
8 Cu 0.750 0.250 0.500
9 P 0.104 0.740 0.844
10 P 0.396 0.240 0.636
11 P 0.604 0.760 0.364
12 P 0.896 0.260 0.156



Starting from a PBE-relaxed structure, the PXRD pattern of TlSn2Hg was computed for Cu Kα (λ = 1.5418 Å).
Peak positions follow from Bragg's law for the DFT cell and can differ from measured ones.

Most intense lines, 10 to 90 degrees two-theta, by angle:
| 2theta | I (rel.) |
| --- | --- |
| 30.9 | 50 |
| 32.6 | 30 |
| 33.2 | 100 |
| 33.4 | 12 |
| 33.6 | 47 |
| 45.5 | 24 |
| 56.4 | 18 |
| 58.3 | 13 |

Cell and atoms:
Lattice parameters (Å, degrees): 3.268 5.786 12.282 90.00 96.19 90.00
Sites, in units of the cell vectors:
1 Tl 0.112 0.250 0.187
2 Tl 0.888 0.750 0.813
3 Sn 0.289 0.750 0.559
4 Sn 0.328 0.250 0.668
5 Sn 0.672 0.750 0.332
6 Sn 0.711 0.250 0.441
7 Hg 0.460 0.750 0.066
8 Hg 0.540 0.250 0.934



Starting from a PBE-relaxed structure, the PXRD pattern of Tl2InAu5 was computed for Cu Kα (λ = 1.5418 Å).
Peak positions follow from Bragg's law for the DFT cell and can differ from measured ones.

Most intense lines, 10 to 90 degrees two-theta, by angle:
| 2theta | I (rel.) |
| --- | --- |
| 32.0 | 32 |
| 32.8 | 20 |
| 33.0 | 87 |
| 33.1 | 33 |
| 34.9 | 33 |
| 37.1 | 49 |
| 39.2 | 100 |
| 42.0 | 24 |

Cell and atoms:
Lattice parameters (Å, degrees): 5.999 5.999 5.633 102.88 102.88 107.58
Sites, in units of the cell vectors:
1 Tl 0.202 0.798 0.000
2 Tl 0.798 0.202 0.000
3 In 0.787 0.787 0.391
4 Au 0.206 0.206 0.733
5 Au 0.333 0.808 0.523
6 Au 0.340 0.340 0.291
7 Au 0.637 0.637 0.855
8 Au 0.808 0.333 0.523



Starting from a PBE-relaxed structure, the PXRD pattern of Tm4AlS2 was computed for Cu Kα (λ = 1.5418 Å).
Peak positions follow from Bragg's law for the DFT cell and can differ from measured ones.

Most intense lines, 10 to 90 degrees two-theta, by angle:
| 2theta | I (rel.) |
| --- | --- |
| 27.8 | 68 |
| 30.5 | 100 |
| 31.7 | 44 |
| 32.1 | 83 |
| 34.2 | 29 |
| 47.3 | 58 |
| 51.0 | 29 |
| 57.3 | 34 |

Cell and atoms:
Lattice parameters (Å, degrees): 6.692 6.692 13.204 90.00 90.00 146.63
Sites, in units of the cell vectors:
1 Tm 0.000 0.000 0.000
2 Tm 0.000 0.000 0.500
3 Tm 0.270 0.730 0.620
4 Tm 0.270 0.730 0.880
5 Tm 0.430 0.570 0.250
6 Tm 0.570 0.430 0.750
7 Tm 0.730 0.270 0.120
8 Tm 0.730 0.270 0.380
9 Al 0.106 0.894 0.250
10 Al 0.894 0.106 0.750
11 S 0.364 0.636 0.058
12 S 0.364 0.636 0.442
13 S 0.636 0.364 0.558
14 S 0.636 0.364 0.942



Starting from a PBE-relaxed structure, the PXRD pattern of CePrGa2Pt5 was computed for Cu Kα (λ = 1.5418 Å).
Peak positions follow from Bragg's law for the DFT cell and can differ from measured ones.

Most intense lines, 10 to 90 degrees two-theta, by angle:
| 2theta | I (rel.) |
| --- | --- |
| 35.3 | 100 |
| 38.7 | 14 |
| 41.6 | 16 |
| 42.0 | 41 |
| 58.5 | 17 |
| 61.0 | 14 |
| 67.8 | 12 |
| 72.4 | 25 |

Cell and atoms:
Lattice parameters (Å, degrees): 4.298 4.298 9.305 90.00 90.00 90.00
Sites, in units of the cell vectors:
1 Ce 0.000 0.000 0.000
2 Pr 0.000 0.000 0.500
3 Ga 0.500 0.500 0.134
4 Ga 0.500 0.500 0.866
5 Pt 0.000 0.500 0.270
6 Pt 0.000 0.500 0.730
7 Pt 0.500 0.000 0.270
8 Pt 0.500 0.000 0.730
9 Pt 0.500 0.500 0.500



Starting from a PBE-relaxed structure, the PXRD pattern of Nd6SmY2Tm was computed for Cu Kα (λ = 1.5418 Å).
Peak positions follow from Bragg's law for the DFT cell and can differ from measured ones.

Most intense lines, 10 to 90 degrees two-theta, by angle:
| 2theta | I (rel.) |
| --- | --- |
| 28.0 | 39 |
| 29.8 | 52 |
| 30.5 | 100 |
| 30.7 | 39 |
| 31.0 | 39 |
| 33.7 | 32 |
| 34.4 | 21 |
| 59.4 | 21 |

Cell and atoms:
Lattice parameters (Å, degrees): 8.989 8.989 9.588 93.19 93.19 116.88
Sites, in units of the cell vectors:
1 Nd 0.005 0.562 0.188
2 Nd 0.116 0.763 0.557
3 Nd 0.237 0.884 0.943
4 Nd 0.293 0.518 0.384
5 Nd 0.438 0.995 0.312
6 Nd 0.482 0.707 0.116
7 Nd 0.518 0.293 0.884
8 Nd 0.562 0.005 0.688
9 Nd 0.707 0.482 0.616
10 Nd 0.763 0.116 0.057
11 Nd 0.884 0.237 0.443
12 Nd 0.995 0.438 0.812
13 Sm 0.031 0.969 0.250
14 Sm 0.969 0.031 0.750
15 Y 0.204 0.300 0.049
16 Y 0.300 0.204 0.549
17 Y 0.700 0.796 0.451
18 Y 0.796 0.700 0.951
19 Tm 0.412 0.588 0.750
20 Tm 0.588 0.412 0.250



Starting from a PBE-relaxed structure, the PXRD pattern of Na2Tl6Sn3 was computed for Cu Kα (λ = 1.5418 Å).
Peak positions follow from Bragg's law for the DFT cell and can differ from measured ones.

Most intense lines, 10 to 90 degrees two-theta, by angle:
| 2theta | I (rel.) |
| --- | --- |
| 15.5 | 23 |
| 30.5 | 66 |
| 31.7 | 100 |
| 33.5 | 44 |
| 34.1 | 41 |
| 35.3 | 36 |
| 41.1 | 25 |
| 62.8 | 15 |

Cell and atoms:
Lattice parameters (Å, degrees): 8.339 8.339 11.451 91.50 91.50 24.05
Sites, in units of the cell vectors:
1 Na 0.098 0.098 0.449
2 Na 0.902 0.902 0.551
3 Tl 0.053 0.053 0.734
4 Tl 0.282 0.282 0.363
5 Tl 0.364 0.364 0.808
6 Tl 0.636 0.636 0.192
7 Tl 0.718 0.718 0.637
8 Tl 0.947 0.947 0.266
9 Sn 0.000 0.000 0.000
10 Sn 0.319 0.319 0.080
11 Sn 0.681 0.681 0.920



Starting from a PBE-relaxed structure, the PXRD pattern of Sr3WN4 was computed for Cu Kα (λ = 1.5418 Å).
Peak positions follow from Bragg's law for the DFT cell and can differ from measured ones.

Most intense lines, 10 to 90 degrees two-theta, by angle:
| 2theta | I (rel.) |
| --- | --- |
| 18.6 | 45 |
| 25.2 | 20 |
| 29.5 | 100 |
| 31.0 | 63 |
| 31.3 | 63 |
| 41.9 | 21 |
| 53.2 | 21 |
| 53.6 | 25 |

Cell and atoms:
Lattice parameters (Å, degrees): 7.742 8.628 8.502 90.00 90.00 90.00
Sites, in units of the cell vectors:
1 Sr 0.044 0.030 0.225
2 Sr 0.044 0.470 0.225
3 Sr 0.168 0.750 0.480
4 Sr 0.332 0.250 0.980
5 Sr 0.456 0.530 0.725
6 Sr 0.456 0.970 0.725
7 Sr 0.544 0.030 0.275
8 Sr 0.544 0.470 0.275
9 Sr 0.668 0.750 0.020
10 Sr 0.832 0.250 0.520
11 Sr 0.956 0.530 0.775
12 Sr 0.956 0.970 0.775
13 W 0.219 0.750 0.993
14 W 0.281 0.250 0.493
15 W 0.719 0.750 0.507
16 W 0.781 0.250 0.007
17 N 0.009 0.250 0.929
18 N 0.170 0.066 0.556
19 N 0.170 0.434 0.556
20 N 0.210 0.750 0.768
21 N 0.290 0.250 0.268
22 N 0.330 0.566 0.056
23 N 0.330 0.934 0.056
24 N 0.491 0.750 0.429
25 N 0.509 0.250 0.571
26 N 0.670 0.066 0.944
27 N 0.670 0.434 0.944
28 N 0.710 0.750 0.732
29 N 0.790 0.250 0.232
30 N 0.830 0.566 0.444
31 N 0.830 0.934 0.444
32 N 0.991 0.750 0.071



Starting from a PBE-relaxed structure, the PXRD pattern of Mg7P was computed for Cu Kα (λ = 1.5418 Å).
Peak positions follow from Bragg's law for the DFT cell and can differ from measured ones.

Most intense lines, 10 to 90 degrees two-theta, by angle:
| 2theta | I (rel.) |
| --- | --- |
| 17.5 | 1 |
| 35.5 | 100 |
| 41.2 | 49 |
| 59.8 | 31 |
| 71.5 | 35 |
| 75.2 | 10 |
| 89.6 | 5 |

Cell and atoms:
Lattice parameters (Å, degrees): 6.191 6.191 6.191 60.00 60.00 60.00
Sites, in units of the cell vectors:
1 Mg 0.000 0.000 0.000
2 Mg 0.000 0.000 0.500
3 Mg 0.000 0.500 0.000
4 Mg 0.000 0.500 0.500
5 Mg 0.500 0.000 0.000
6 Mg 0.500 0.000 0.500
7 Mg 0.500 0.500 0.000
8 P 0.500 0.500 0.500



Starting from a PBE-relaxed structure, the PXRD pattern of Pr14ErAl was computed for Cu Kα (λ = 1.5418 Å).
Peak positions follow from Bragg's law for the DFT cell and can differ from measured ones.

Most intense lines, 10 to 90 degrees two-theta, by angle:
| 2theta | I (rel.) |
| --- | --- |
| 30.0 | 100 |
| 34.8 | 50 |
| 50.0 | 36 |
| 59.5 | 42 |
| 62.4 | 12 |
| 81.3 | 17 |
| 83.8 | 5 |
| 84.0 | 11 |

Cell and atoms:
Lattice parameters (Å, degrees): 10.326 7.288 7.288 90.00 90.00 90.00
Sites, in units of the cell vectors:
1 Pr 0.000 0.000 0.000
2 Pr 0.000 0.000 0.500
3 Pr 0.000 0.500 0.000
4 Pr 0.000 0.500 0.500
5 Pr 0.258 0.255 0.255
6 Pr 0.259 0.255 0.745
7 Pr 0.259 0.745 0.255
8 Pr 0.260 0.745 0.745
9 Pr 0.500 0.001 0.500
10 Pr 0.500 0.500 0.001
11 Pr 0.740 0.745 0.745
12 Pr 0.741 0.255 0.745
13 Pr 0.741 0.745 0.255
14 Pr 0.742 0.255 0.255
15 Er 0.500 0.000 0.000
16 Al 0.500 0.500 0.500



Starting from a PBE-relaxed structure, the PXRD pattern of GaSi2S4 was computed for Cu Kα (λ = 1.5418 Å).
Peak positions follow from Bragg's law for the DFT cell and can differ from measured ones.

Most intense lines, 10 to 90 degrees two-theta, by angle:
| 2theta | I (rel.) |
| --- | --- |
| 19.2 | 43 |
| 22.4 | 26 |
| 29.6 | 100 |
| 31.8 | 25 |
| 35.7 | 15 |
| 48.4 | 60 |
| 51.4 | 16 |
| 55.0 | 15 |

Cell and atoms:
Lattice parameters (Å, degrees): 6.298 6.298 6.298 101.73 101.73 126.40
Sites, in units of the cell vectors:
1 Ga 0.000 0.000 0.000
2 Si 0.250 0.750 0.500
3 Si 0.750 0.250 0.500
4 S 0.152 0.356 0.508
5 S 0.356 0.848 0.204
6 S 0.644 0.152 0.796
7 S 0.848 0.644 0.492



Starting from a PBE-relaxed structure, the PXRD pattern of InW was computed for Cu Kα (λ = 1.5418 Å).
Peak positions follow from Bragg's law for the DFT cell and can differ from measured ones.

Most intense lines, 10 to 90 degrees two-theta, by angle:
| 2theta | I (rel.) |
| --- | --- |
| 35.6 | 20 |
| 36.7 | 30 |
| 37.6 | 100 |
| 42.8 | 18 |
| 52.0 | 14 |
| 56.4 | 9 |
| 66.7 | 19 |
| 69.2 | 9 |

Cell and atoms:
Lattice parameters (Å, degrees): 2.943 2.943 10.092 90.00 90.00 112.68
Sites, in units of the cell vectors:
1 In 0.250 0.750 0.848
2 In 0.750 0.250 0.152
3 W 0.250 0.750 0.401
4 W 0.750 0.250 0.599